Calculated X-ray diffraction stick pattern of Rb3Zn2Au3 for Cu Ka, from a crystal structure in Alexandria, relaxed with PBE.

Largest 10 diffraction maxima, by angle, 2θ = 10–90°:
16.30°, I = 65; 25.75°, I = 53; 27.82°, I = 50; 28.13°, I = 65; 28.69°, I = 63; 29.80°, I = 48; 31.10°, I = 44; 32.21°, I = 100; 32.69°, I = 81; 32.91°, I = 87

Atomic structure:
Unit cell a=9.143 b=15.885 c=6.766 alpha=90.00 beta=90.00 gamma=90.00
Space group Pnma (No. 62)
One atom of each set of equivalent atoms:
Rb (0.044, 0.108, 0.124) (multiplicity 8)
Rb (0.215, 0.250, 0.565) (multiplicity 4)
Zn (0.111, 0.585, 0.397) (multiplicity 8)
Au (0.144, 0.750, 0.526) (multiplicity 4)
Au (0.174, 0.044, 0.647) (multiplicity 8)



Calculated X-ray diffraction stick pattern of Re3Au2 for Cu Ka, from a crystal structure in Alexandria, relaxed with PBE.

Largest 10 diffraction maxima, by angle, 2θ = 10–90°:
38.35°, I = 34; 39.10°, I = 100; 45.24°, I = 65; 65.39°, I = 21; 66.42°, I = 22; 78.42°, I = 12; 79.38°, I = 25; 79.87°, I = 13; 82.12°, I = 3; 84.03°, I = 11

Atomic structure:
Unit cell a=2.8149 b=2.8149 c=35.2082 alpha=90.00 beta=90.00 gamma=120.00
Space group R-3m (No. 166, hexagonal axes)
One atom of each set of equivalent atoms:
Re (0.0000, 0.0000, 0.0000) (multiplicity 3)
Re (0.0000, 0.0000, 0.1964) (multiplicity 6)
Au (0.0000, 0.0000, 0.4004) (multiplicity 6)



Calculated X-ray diffraction stick pattern of Re3Au for Cu Ka, from a crystal structure in Alexandria, relaxed with PBE.

Largest 10 diffraction maxima, by angle, 2θ = 10–90°:
36.69°, I = 26; 40.33°, I = 38; 42.05°, I = 100; 42.41°, I = 52; 55.65°, I = 16; 66.58°, I = 18; 74.50°, I = 19; 80.08°, I = 11; 80.80°, I = 21; 81.47°, I = 16

Atomic structure:
Unit cell a=2.839 b=4.473 c=4.849 alpha=90.00 beta=90.00 gamma=90.00
Space group Pmm2 (No. 25)
One atom of each set of equivalent atoms:
Re (0.000, 0.000, 0.000) (multiplicity 1)
Re (0.000, 0.500, 0.321) (multiplicity 1)
Re (0.500, 0.500, 0.831) (multiplicity 1)
Au (0.500, 0.000, 0.496) (multiplicity 1)



Calculated X-ray diffraction stick pattern of Re5Au3 for Cu Ka, from a crystal structure in Alexandria, relaxed with PBE.

Largest 10 diffraction maxima, by angle, 2θ = 10–90°:
34.86°, I = 100; 36.60°, I = 63; 38.95°, I = 57; 39.74°, I = 73; 39.89°, I = 56; 40.28°, I = 54; 40.58°, I = 61; 40.77°, I = 53; 40.85°, I = 76; 47.26°, I = 54

Atomic structure:
Unit cell a=4.913 b=7.664 c=8.008 alpha=82.24 beta=73.63 gamma=72.09
Space group P-1 (No. 2)
One atom of each set of equivalent atoms:
Re (0.069, 0.200, 0.180) (multiplicity 2)
Re (0.218, 0.226, 0.839) (multiplicity 2)
Re (0.243, 0.659, 0.274) (multiplicity 2)
Re (0.267, 0.511, 0.950) (multiplicity 2)
Re (0.410, 0.311, 0.297) (multiplicity 2)
Au (0.207, 0.517, 0.599) (multiplicity 2)
Au (0.305, 0.926, 0.456) (multiplicity 2)
Au (0.308, 0.889, 0.988) (multiplicity 2)



Calculated X-ray diffraction stick pattern of ReAu2 for Cu Ka, from a crystal structure in Alexandria, relaxed with PBE.

Largest 10 diffraction maxima, by angle, 2θ = 10–90°:
34.80°, I = 12; 36.34°, I = 25; 39.08°, I = 40; 40.07°, I = 55; 41.45°, I = 100; 54.43°, I = 16; 63.40°, I = 19; 72.41°, I = 20; 77.05°, I = 21; 80.45°, I = 15

Atomic structure:
Unit cell a=2.817 b=15.468 c=4.610 alpha=90.00 beta=90.00 gamma=90.00
Space group Cmcm (No. 63)
One atom of each set of equivalent atoms:
Re (0.000, 0.225, 0.250) (multiplicity 4)
Au (0.000, 0.118, 0.750) (multiplicity 4)
Au (0.000, 0.441, 0.750) (multiplicity 4)



Calculated X-ray diffraction stick pattern of Re3Au for Cu Ka, from a crystal structure in Alexandria, relaxed with PBE.

Largest 10 diffraction maxima, by angle, 2θ = 10–90°:
33.27°, I = 1; 39.31°, I = 100; 44.87°, I = 16; 46.12°, I = 33; 66.31°, I = 21; 66.96°, I = 2; 67.28°, I = 11; 78.98°, I = 11; 80.79°, I = 26; 84.55°, I = 11

Atomic structure:
Unit cell a=2.783 b=2.783 c=8.080 alpha=90.00 beta=90.00 gamma=90.00
Space group P4/mmm (No. 123)
One atom of each set of equivalent atoms:
Re (0.000, 0.000, 0.000) (multiplicity 1)
Re (0.500, 0.500, 0.233) (multiplicity 2)
Au (0.000, 0.000, 0.500) (multiplicity 1)



Calculated X-ray diffraction stick pattern of ReRu4Au for Cu Ka, from a crystal structure in Alexandria, relaxed with PBE.

Largest 10 diffraction maxima, by angle, 2θ = 10–90°:
21.50°, I = 3; 35.46°, I = 51; 41.85°, I = 100; 43.80°, I = 22; 55.98°, I = 1; 63.67°, I = 19; 68.04°, I = 31; 75.05°, I = 25; 85.84°, I = 9; 89.83°, I = 12

Atomic structure:
Unit cell a=7.160 b=7.160 c=7.160 alpha=90.00 beta=90.00 gamma=90.00
Space group F-43m (No. 216)
One atom of each set of equivalent atoms:
Re (0.000, 0.000, 0.000) (multiplicity 4)
Ru (0.125, 0.125, 0.625) (multiplicity 16)
Au (0.250, 0.250, 0.250) (multiplicity 4)



Calculated X-ray diffraction stick pattern of ScReAu2 for Cu Ka, from a crystal structure in Alexandria, relaxed with PBE.

Largest 10 diffraction maxima, by angle, 2θ = 10–90°:
14.82°, I = 18; 25.92°, I = 7; 29.97°, I = 14; 36.99°, I = 59; 39.98°, I = 100; 53.31°, I = 21; 68.66°, I = 38; 74.54°, I = 14; 78.75°, I = 7; 86.25°, I = 10

Atomic structure:
Unit cell a=3.437 b=3.437 c=5.978 alpha=90.00 beta=90.00 gamma=90.00
Space group P4mm (No. 99)
One atom of each set of equivalent atoms:
Sc (0.000, 0.000, 0.000) (multiplicity 1)
Re (0.500, 0.500, 0.735) (multiplicity 1)
Au (0.000, 0.000, 0.517) (multiplicity 1)
Au (0.500, 0.500, 0.247) (multiplicity 1)



Calculated X-ray diffraction stick pattern of Re4AuSe7 for Cu Ka, from a crystal structure in Alexandria, relaxed with PBE.

Largest 10 diffraction maxima, by angle, 2θ = 10–90°:
11.79°, I = 21; 13.71°, I = 100; 20.06°, I = 11; 24.85°, I = 15; 29.41°, I = 11; 38.14°, I = 11; 40.96°, I = 22; 42.05°, I = 12; 44.81°, I = 12; 47.04°, I = 9

Atomic structure:
Unit cell a=7.167 b=6.073 c=16.611 alpha=90.00 beta=115.33 gamma=90.00
Space group Pc (No. 7)
One atom of each set of equivalent atoms:
Re (0.000, 0.095, 0.000) (multiplicity 2)
Re (0.082, 0.311, 0.587) (multiplicity 2)
Re (0.606, 0.188, 0.872) (multiplicity 2)
Re (0.672, 0.198, 0.455) (multiplicity 2)
Au (0.416, 0.182, 0.277) (multiplicity 2)
Se (0.265, 0.323, 0.112) (multiplicity 2)
Se (0.394, 0.194, 0.706) (multiplicity 2)
Se (0.403, 0.485, 0.381) (multiplicity 2)
Se (0.706, 0.152, 0.034) (multiplicity 2)
Se (0.790, 0.330, 0.615) (multiplicity 2)
Se (0.921, 0.233, 0.853) (multiplicity 2)
Se (0.974, 0.268, 0.427) (multiplicity 2)



Calculated X-ray diffraction stick pattern of ReAuSe2 for Cu Ka, from a crystal structure in Alexandria, relaxed with PBE.

Largest 10 diffraction maxima, by angle, 2θ = 10–90°:
35.76°, I = 100; 36.97°, I = 21; 40.06°, I = 27; 41.89°, I = 51; 46.70°, I = 11; 48.33°, I = 24; 59.90°, I = 25; 71.76°, I = 13; 72.52°, I = 15; 79.21°, I = 15

Atomic structure:
Unit cell a=3.0884 b=3.0884 c=29.1740 alpha=90.00 beta=90.00 gamma=120.00
Space group R3m (No. 160, hexagonal axes)
One atom of each set of equivalent atoms:
Re (0.0000, 0.0000, 0.0000) (multiplicity 3)
Au (0.0000, 0.0000, 0.2558) (multiplicity 3)
Se (0.0000, 0.0000, 0.5134) (multiplicity 3)
Se (0.0000, 0.0000, 0.7247) (multiplicity 3)



Calculated X-ray diffraction stick pattern of ReAuSe2 for Cu Ka, from a crystal structure in Alexandria, relaxed with PBE.

Largest 10 diffraction maxima, by angle, 2θ = 10–90°:
23.06°, I = 44; 26.51°, I = 50; 29.28°, I = 23; 31.78°, I = 100; 34.77°, I = 21; 40.75°, I = 35; 44.04°, I = 43; 46.39°, I = 26; 48.06°, I = 43; 50.74°, I = 35

Atomic structure:
Unit cell a=7.078 b=3.174 c=8.119 alpha=90.00 beta=108.21 gamma=90.00
Space group C2/m (No. 12)
One atom of each set of equivalent atoms:
Re (0.000, 0.000, 0.000) (multiplicity 2)
Au (0.000, 0.500, 0.500) (multiplicity 2)
Se (0.138, 0.500, 0.822) (multiplicity 4)



Calculated X-ray diffraction stick pattern of SrRe4Au for Cu Ka, from a crystal structure in Alexandria, relaxed with PBE.

Largest 10 diffraction maxima, by angle, 2θ = 10–90°:
20.21°, I = 19; 33.30°, I = 19; 39.27°, I = 100; 41.09°, I = 49; 47.81°, I = 9; 59.51°, I = 7; 63.53°, I = 33; 69.93°, I = 29; 83.26°, I = 12; 84.44°, I = 19

Atomic structure:
Unit cell a=7.610 b=7.610 c=7.610 alpha=90.00 beta=90.00 gamma=90.00
Space group F-43m (No. 216)
One atom of each set of equivalent atoms:
Sr (0.000, 0.000, 0.000) (multiplicity 4)
Re (0.123, 0.123, 0.377) (multiplicity 16)
Au (0.250, 0.250, 0.750) (multiplicity 4)



Calculated X-ray diffraction stick pattern of TaRe2Au for Cu Ka, from a crystal structure in Alexandria, relaxed with PBE.

Largest 8 diffraction maxima, by angle, 2θ = 10–90°:
38.92°, I = 100; 45.10°, I = 33; 45.56°, I = 16; 65.69°, I = 11; 66.04°, I = 22; 79.06°, I = 26; 79.73°, I = 13; 83.58°, I = 12

Atomic structure:
Unit cell a=4.021 b=4.021 c=7.964 alpha=90.00 beta=90.00 gamma=90.00
Space group I-4m2 (No. 119)
One atom of each set of equivalent atoms:
Ta (0.000, 0.000, 0.000) (multiplicity 2)
Re (0.000, 0.000, 0.500) (multiplicity 2)
Re (0.000, 0.500, 0.250) (multiplicity 2)
Au (0.000, 0.500, 0.750) (multiplicity 2)



Calculated X-ray diffraction stick pattern of ReTc4Au for Cu Ka, from a crystal structure in Alexandria, relaxed with PBE.

Largest 10 diffraction maxima, by angle, 2θ = 10–90°:
21.35°, I = 3; 35.22°, I = 52; 41.55°, I = 100; 43.49°, I = 21; 55.58°, I = 1; 63.20°, I = 19; 67.53°, I = 31; 74.46°, I = 24; 85.13°, I = 9; 89.07°, I = 12

Atomic structure:
Unit cell a=7.208 b=7.208 c=7.208 alpha=90.00 beta=90.00 gamma=90.00
Space group F-43m (No. 216)
One atom of each set of equivalent atoms:
Re (0.000, 0.000, 0.000) (multiplicity 4)
Tc (0.124, 0.124, 0.624) (multiplicity 16)
Au (0.250, 0.250, 0.250) (multiplicity 4)